Record 1
The following is a theoretical powder diffractogram of Ba6HgPd2Br3. It was derived from the GGA-PBE geometry in Alexandria, using CuKα.
Lines closer than 0.1° are merged.

Main lines, in order of rising 2θ (10 to 90 degrees two-theta):
| d/Å | I (rel.) |
| --- | --- |
| 8.477 | 13.0 |
| 3.410 | 100.0 |
| 2.498 | 38.6 |
| 2.334 | 24.2 |
| 2.329 | 12.3 |
| 1.925 | 19.4 |
| 1.703 | 7.9 |
| 1.567 | 9.9 |
| 1.483 | 11.1 |
| 1.376 | 7.6 |

```
Ba6HgPd2Br3
1.0
10.8471 -2.3294 0.0000
10.8471 2.3294 0.0000
-3.2759 0.0000 9.4829
Ba Hg Pd Br
6 1 2 3
direct
0.0101 0.0101 0.2485 Ba
0.3239 0.3239 0.4388 Ba
0.3348 0.3348 0.8921 Ba
0.6652 0.6652 0.1079 Ba
0.6761 0.6761 0.5612 Ba
0.9899 0.9899 0.7515 Ba
0.5000 0.5000 0.0000 Hg
0.1665 0.1665 0.3321 Pd
0.8335 0.8335 0.6679 Pd
0.1668 0.1668 0.8299 Br
0.5000 0.5000 0.5000 Br
0.8332 0.8332 0.1701 Br
```


Record 2
The following is a theoretical powder diffractogram of RbBaHgBr5. It was derived from the GGA-PBE geometry in Alexandria, using CuKα.
Lines closer than 0.1° are merged.

Main lines, in order of rising 2θ (10 to 90 degrees two-theta):
| d/Å | I (rel.) |
| --- | --- |
| 5.169 | 86.1 |
| 4.690 | 78.4 |
| 4.130 | 93.9 |
| 4.082 | 100.0 |
| 3.593 | 72.2 |
| 2.704 | 46.7 |
| 2.574 | 60.5 |
| 2.445 | 46.9 |
| 2.388 | 63.2 |
| 2.240 | 62.8 |

```
RbBaHgBr5
1.0
5.1132 -6.7986 0.0000
5.1132 6.7986 0.0000
-4.5163 0.0000 10.3980
Rb Ba Hg Br
2 2 2 10
direct
0.1487 0.8513 0.7500 Rb
0.8513 0.1487 0.2500 Rb
0.5000 0.5000 0.0000 Ba
0.5000 0.5000 0.5000 Ba
0.1810 0.8190 0.2500 Hg
0.8190 0.1810 0.7500 Hg
0.1082 0.2252 0.9376 Br
0.1555 0.5810 0.3685 Br
0.2252 0.1082 0.4376 Br
0.3975 0.6025 0.7500 Br
0.4190 0.8445 0.1315 Br
0.5810 0.1555 0.8685 Br
0.6025 0.3975 0.2500 Br
0.7748 0.8918 0.5624 Br
0.8445 0.4190 0.6315 Br
0.8918 0.7748 0.0624 Br
```